1.
This entry pairs a crystal structure of KLa3Ru with its computed powder XRD pattern. Radiation: Cu Kα (λ = 1.5418 Å). Structure: a cell relaxed with GGA-PBE.

Largest 6 diffraction maxima, most intense first, 10° ≤ 2θ ≤ 80°:
2θ = 31.20°, I 100; 2θ = 26.94°, I 77; 2θ = 44.71°, I 73; 2θ = 15.46°, I 70; 2θ = 35.00°, I 38; 2θ = 52.97°, I 35

Crystal structure
```
5
Lattice="5.733 0.000 0.000 0.000 5.733 0.000 0.000 0.000 5.733" Properties=species:S:1:pos:R:3 pbc="T T T"
K 0.000 0.000 0.000
La 0.000 2.867 2.867
La 2.867 0.000 2.867
La 2.867 2.867 0.000
Ru 2.867 2.867 2.867
```


2.
This entry pairs a crystal structure of KLaS14 with its computed powder XRD pattern. Radiation: Cu Kα (λ = 1.5418 Å). Structure: a cell relaxed with GGA-PBE.

Largest 6 diffraction maxima, most intense first, 10° ≤ 2θ ≤ 80°:
2θ = 15.90°, I 100; 2θ = 11.06°, I 96; 2θ = 21.79°, I 74; 2θ = 12.63°, I 68; 2θ = 17.97°, I 61; 2θ = 33.57°, I 61

Crystal structure
```
32
Lattice="8.062 -4.504 0.000 8.062 4.504 0.000 -1.700 0.000 13.807" Properties=species:S:1:pos:R:3 pbc="T T T"
K 6.787 4.204 10.355
K 7.637 -4.204 3.452
La 4.031 2.252 0.000
La 3.181 -2.252 6.904
S 2.617 1.376 8.526
S 6.089 2.458 1.958
S 2.226 0.056 0.964
S 1.376 -0.056 7.868
S 4.554 1.378 6.058
S 2.759 0.045 11.912
S 3.609 -0.045 5.008
S 9.185 2.458 4.946
S 5.892 0.710 9.830
S 6.902 0.672 1.368
S 3.467 -1.376 1.623
S 7.682 0.710 10.881
S 3.704 -1.378 12.961
S 8.372 0.672 5.536
S 6.052 -0.672 8.271
S 10.720 1.378 0.846
S 6.742 -0.710 2.927
S 10.957 1.376 12.184
S 7.522 -0.672 12.439
S 8.532 -0.710 3.977
S 5.239 -2.458 8.862
S 10.816 0.045 8.799
S 11.666 -0.045 1.895
S 9.871 -1.378 7.750
S 13.049 0.056 5.940
S 12.199 -0.056 12.843
S 8.335 -2.458 11.849
S 11.807 -1.376 5.281
```


3.
This entry pairs a crystal structure of K2La2Sb2S9 with its computed powder XRD pattern. Radiation: Cu Kα (λ = 1.5418 Å). Structure: a cell relaxed with GGA-PBE.

Largest 6 diffraction maxima, most intense first, 10° ≤ 2θ ≤ 80°:
2θ = 29.91°, I 100; 2θ = 30.98°, I 82; 2θ = 25.98°, I 59; 2θ = 10.25°, I 51; 2θ = 22.11°, I 50; 2θ = 45.41°, I 41

Crystal structure
```
30
Lattice="11.223 0.000 0.000 0.000 17.256 0.000 0.000 0.000 4.141" Properties=species:S:1:pos:R:3 pbc="T T T"
K 2.390 0.922 0.000
K 3.222 9.550 0.000
K 8.002 7.706 0.000
K 8.833 16.334 0.000
La 1.342 13.658 0.000
La 4.270 5.030 0.000
La 6.953 12.226 0.000
La 9.881 3.598 0.000
Sb 0.549 6.649 2.070
Sb 5.063 15.277 2.070
Sb 6.160 1.979 2.070
Sb 10.675 10.607 2.070
S 0.000 8.628 0.000
S 0.115 2.192 2.070
S 1.241 5.026 0.000
S 1.745 11.559 2.070
S 1.910 15.670 2.070
S 3.702 7.042 2.070
S 3.866 2.931 2.070
S 4.371 13.654 0.000
S 5.497 10.820 2.070
S 5.612 0.000 0.000
S 5.726 6.436 2.070
S 6.853 3.602 0.000
S 7.357 14.325 2.070
S 7.521 10.214 2.070
S 9.314 1.586 2.070
S 9.478 5.697 2.070
S 9.982 12.230 0.000
S 11.108 15.064 2.070
```


4.
This entry pairs a crystal structure of KLa2US5 with its computed powder XRD pattern. Radiation: Cu Kα (λ = 1.5418 Å). Structure: a cell relaxed with GGA-PBE.

Largest 6 diffraction maxima, most intense first, 10° ≤ 2θ ≤ 80°:
2θ = 24.82°, I 100; 2θ = 13.66°, I 85; 2θ = 35.39°, I 49; 2θ = 35.82°, I 43; 2θ = 33.96°, I 25; 2θ = 43.23°, I 25

Crystal structure
```
9
Lattice="-2.533 3.645 7.079 2.533 -3.645 7.079 2.533 3.645 -7.079" Properties=species:S:1:pos:R:3 pbc="T T T"
K 0.000 0.000 0.000
La 2.533 0.000 4.182
La 0.000 3.645 2.898
U 0.000 0.000 7.079
S 2.533 1.924 -2.110
S 2.533 1.924 2.110
S 0.000 3.645 0.000
S 0.000 1.721 4.970
S 0.000 1.721 9.189
```


5.
This entry pairs a crystal structure of KLaSm4Se8 with its computed powder XRD pattern. Radiation: Cu Kα (λ = 1.5418 Å). Structure: a cell relaxed with GGA-PBE.

Largest 6 diffraction maxima, most intense first, 10° ≤ 2θ ≤ 80°:
2θ = 28.73°, I 100; 2θ = 40.78°, I 69; 2θ = 41.37°, I 68; 2θ = 23.77°, I 53; 2θ = 12.39°, I 33; 2θ = 37.62°, I 30

Crystal structure
```
14
Lattice="4.365 2.520 7.279 -4.365 2.520 7.279 0.000 -5.040 7.279" Properties=species:S:1:pos:R:3 pbc="T T T"
K 0.000 0.000 0.000
La 0.000 0.000 8.052
Sm 0.000 -2.609 11.807
Sm -2.259 1.304 11.807
Sm 0.000 0.000 16.307
Sm 2.259 1.304 11.807
Se 0.000 -2.240 6.154
Se -1.940 1.120 6.154
Se 0.000 0.000 3.016
Se -2.075 -1.198 10.046
Se 1.940 1.120 6.154
Se 0.000 0.000 13.434
Se 2.075 -1.198 10.046
Se 0.000 2.396 10.046
```


6.
This entry pairs a crystal structure of KLaTeSe with its computed powder XRD pattern. Radiation: Cu Kα (λ = 1.5418 Å). Structure: a cell relaxed with GGA-PBE.

Largest 6 diffraction maxima, most intense first, 10° ≤ 2θ ≤ 80°:
2θ = 27.02°, I 100; 2θ = 39.41°, I 38; 2θ = 11.11°, I 36; 2θ = 37.73°, I 34; 2θ = 48.44°, I 20; 2θ = 64.15°, I 17

Crystal structure
```
4
Lattice="2.286 1.320 7.963 -2.286 1.320 7.963 0.000 -2.640 7.963" Properties=species:S:1:pos:R:3 pbc="T T T"
K 0.000 0.000 0.000
La 0.000 0.000 12.175
Te 0.000 0.000 18.267
Se 0.000 0.000 5.742
```


7.
This entry pairs a crystal structure of K2LaThSe4 with its computed powder XRD pattern. Radiation: Cu Kα (λ = 1.5418 Å). Structure: a cell relaxed with GGA-PBE.

Largest 6 diffraction maxima, most intense first, 10° ≤ 2θ ≤ 80°:
2θ = 28.25°, I 100; 2θ = 11.42°, I 55; 2θ = 39.22°, I 25; 2θ = 41.52°, I 24; 2θ = 36.08°, I 18; 2θ = 23.95°, I 17

Crystal structure
```
8
Lattice="7.543 0.000 0.000 0.000 4.337 0.000 -2.494 0.000 7.746" Properties=species:S:1:pos:R:3 pbc="T T T"
K 0.000 0.000 0.000
K 3.771 2.168 0.000
La -1.247 2.168 3.873
Th 2.524 0.000 3.873
Se 0.083 0.000 5.545
Se 1.316 2.168 2.214
Se 3.732 2.168 5.532
Se 4.965 0.000 2.201
```


8.
This entry pairs a crystal structure of K3LaSi with its computed powder XRD pattern. Radiation: Cu Kα (λ = 1.5418 Å). Structure: a cell relaxed with GGA-PBE.

Largest 6 diffraction maxima, most intense first, 10° ≤ 2θ ≤ 80°:
2θ = 23.95°, I 100; 2θ = 27.73°, I 81; 2θ = 19.51°, I 70; 2θ = 39.62°, I 59; 2θ = 46.83°, I 46; 2θ = 34.13°, I 34

Crystal structure
```
5
Lattice="6.435 0.000 0.000 0.000 6.435 0.000 0.000 0.000 6.435" Properties=species:S:1:pos:R:3 pbc="T T T"
K 0.000 0.000 3.217
K 0.000 3.217 0.000
K 3.217 0.000 0.000
La 3.217 3.217 3.217
Si 0.000 0.000 0.000
```


9.
This entry pairs a crystal structure of KLaSi3 with its computed powder XRD pattern. Radiation: Cu Kα (λ = 1.5418 Å). Structure: a cell relaxed with GGA-PBE.

Largest 6 diffraction maxima, most intense first, 10° ≤ 2θ ≤ 80°:
2θ = 22.15°, I 100; 2θ = 15.62°, I 79; 2θ = 31.53°, I 65; 2θ = 38.87°, I 46; 2θ = 45.19°, I 46; 2θ = 35.37°, I 42

Crystal structure
```
5
Lattice="5.675 0.000 0.000 0.000 5.675 0.000 0.000 0.000 5.675" Properties=species:S:1:pos:R:3 pbc="T T T"
K 0.000 0.000 0.000
La 2.837 2.837 2.837
Si 0.000 2.837 2.837
Si 2.837 0.000 2.837
Si 2.837 2.837 0.000
```


10.
This entry pairs a crystal structure of KSr2La with its computed powder XRD pattern. Radiation: Cu Kα (λ = 1.5418 Å). Structure: a cell relaxed with GGA-PBE.

Largest 6 diffraction maxima, most intense first, 10° ≤ 2θ ≤ 80°:
2θ = 26.05°, I 100; 2θ = 31.16°, I 34; 2θ = 52.42°, I 28; 2θ = 30.50°, I 22; 2θ = 42.45°, I 21; 2θ = 28.09°, I 16

Crystal structure
```
4
Lattice="4.059 0.000 0.000 0.000 4.059 0.000 0.000 0.000 12.706" Properties=species:S:1:pos:R:3 pbc="T T T"
K 0.000 0.000 0.000
Sr 2.030 2.030 3.580
Sr 2.030 2.030 9.126
La 0.000 0.000 6.353
```


11.
This entry pairs a crystal structure of KLa5Tl6 with its computed powder XRD pattern. Radiation: Cu Kα (λ = 1.5418 Å). Structure: a cell relaxed with GGA-PBE.

Largest 6 diffraction maxima, most intense first, 10° ≤ 2θ ≤ 80°:
2θ = 31.63°, I 100; 2θ = 31.39°, I 20; 2θ = 56.38°, I 16; 2θ = 56.23°, I 8; 2θ = 55.97°, I 8; 2θ = 56.12°, I 8

Crystal structure
```
12
Lattice="5.663 0.000 0.000 0.000 7.962 0.000 -2.790 0.000 8.548" Properties=species:S:1:pos:R:3 pbc="T T T"
K 0.000 0.000 0.000
La 0.000 3.981 0.000
La 0.032 3.981 5.715
La 0.033 0.000 5.805
La 2.840 0.000 2.744
La 2.841 3.981 2.834
Tl 0.008 1.983 2.905
Tl 0.008 5.979 2.905
Tl 2.831 2.077 0.000
Tl 2.831 5.885 0.000
Tl 2.865 1.983 5.644
Tl 2.865 5.979 5.644
```


12.
This entry pairs a crystal structure of K3LaV with its computed powder XRD pattern. Radiation: Cu Kα (λ = 1.5418 Å). Structure: a cell relaxed with GGA-PBE.

Largest 6 diffraction maxima, most intense first, 10° ≤ 2θ ≤ 80°:
2θ = 18.37°, I 100; 2θ = 26.09°, I 99; 2θ = 12.96°, I 82; 2θ = 37.23°, I 74; 2θ = 32.09°, I 50; 2θ = 29.23°, I 48

Crystal structure
```
5
Lattice="6.832 0.000 0.000 0.000 6.832 0.000 0.000 0.000 6.832" Properties=species:S:1:pos:R:3 pbc="T T T"
K 0.000 0.000 3.416
K 0.000 3.416 0.000
K 3.416 0.000 0.000
La 0.000 0.000 0.000
V 3.416 3.416 3.416
```


13.
This entry pairs a crystal structure of KLa3Zr with its computed powder XRD pattern. Radiation: Cu Kα (λ = 1.5418 Å). Structure: a cell relaxed with GGA-PBE.

Largest 6 diffraction maxima, most intense first, 10° ≤ 2θ ≤ 80°:
2θ = 29.87°, I 100; 2θ = 25.80°, I 84; 2θ = 42.76°, I 74; 2θ = 14.81°, I 64; 2θ = 50.61°, I 39; 2θ = 33.50°, I 36

Crystal structure
```
5
Lattice="5.982 0.000 0.000 0.000 5.982 0.000 0.000 0.000 5.982" Properties=species:S:1:pos:R:3 pbc="T T T"
K 0.000 0.000 0.000
La 0.000 2.991 2.991
La 2.991 0.000 2.991
La 2.991 2.991 0.000
Zr 2.991 2.991 2.991
```


14.
This entry pairs a crystal structure of KLi2 with its computed powder XRD pattern. Radiation: Cu Kα (λ = 1.5418 Å). Structure: a cell relaxed with GGA-PBE.

Largest 6 diffraction maxima, most intense first, 10° ≤ 2θ ≤ 80°:
2θ = 23.16°, I 100; 2θ = 30.13°, I 76; 2θ = 13.41°, I 60; 2θ = 31.53°, I 38; 2θ = 41.98°, I 27; 2θ = 27.01°, I 25

Crystal structure
```
3
Lattice="-2.007 2.007 6.603 2.007 -2.007 6.603 2.007 2.007 -6.603" Properties=species:S:1:pos:R:3 pbc="T T T"
K 0.000 0.000 0.000
Li 0.000 0.000 3.818
Li 0.000 0.000 9.389
```